[1]
# Li3MnBAsO7
Theoretical powder diffractogram, Cu Kα (λ = 1.5418 Å). Input: a structure optimized by DFT (GGA+U).

Main lines, sorted by position (10° ≤ 2θ ≤ 80°):
(hkl), two_theta, Rel. int.
0 0 1, 10.47, 1000
1 0 -1, 19.59, 346
1 0 1, 21.30, 381
1 1 -1, 23.55, 136
1 1 1, 25.00, 328
0 2 0, 26.03, 829
1 0 -2, 26.18, 340
0 2 1, 28.13, 145
1 1 2, 31.65, 132
2 0 0, 35.50, 153
2 0 -1, 36.11, 185
0 4 0, 53.55, 155

Structure:
```
data_Li3MnBAsO7
_space_group_name_H-M_alt 'P 1 21/m 1'
_space_group_IT_number 11
_cell_length_a 5.0797
_cell_length_b 6.8453
_cell_length_c 8.4899
_cell_angle_alpha 90.00
_cell_angle_beta 95.38
_cell_angle_gamma 90.00
loop_
_space_group_symop_operation_xyz
'x,y,z'
'-x,-y,-z'
'-x,y+1/2,-z'
'x,-y+1/2,z'
loop_
_atom_site_label
_atom_site_type_symbol
_atom_site_fract_x
_atom_site_fract_y
_atom_site_fract_z
Li1 Li 0.2315 0.2500 0.0963
Li2 Li 0.2484 0.5008 0.7673
Mn1 Mn 0.2140 0.7500 0.3149
B1 B 0.2981 0.7500 0.0387
As1 As 0.2584 0.2500 0.4171
O1 O 0.0414 0.7500 0.0858
O2 O 0.1318 0.2500 0.5982
O3 O 0.1625 0.0598 0.2934
O4 O 0.3682 0.7500 0.8892
O5 O 0.4034 0.7500 0.5347
O6 O 0.4890 0.7500 0.1717
```

***

[2]
# Ba2GdCoCu2O7
Theoretical powder diffractogram, Cu Kα (λ = 1.5418 Å). Input: a structure optimized by DFT (GGA+U).

Main lines, sorted by position (10° ≤ 2θ ≤ 80°):
(hkl), two_theta, Rel. int.
0 1 3, 32.18, 897
1 0 3, 32.35, 1000
1 1 0, 32.46, 973
1 1 3, 39.87, 327
0 0 6, 45.97, 165
0 2 0, 46.33, 289
2 0 0, 46.81, 280
1 1 6, 57.40, 303
1 2 3, 57.63, 375
2 1 3, 57.94, 335
2 2 0, 67.98, 170
3 1 0, 77.70, 156

Structure:
```
data_Ba2GdCoCu2O7
_space_group_name_H-M_alt 'P m m m'
_space_group_IT_number 47
_cell_length_a 3.8811
_cell_length_b 3.9198
_cell_length_c 11.8447
_cell_angle_alpha 90.00
_cell_angle_beta 90.00
_cell_angle_gamma 90.00
loop_
_space_group_symop_operation_xyz
'x,y,z'
'-x,-y,-z'
'-x,-y,z'
'x,y,-z'
'x,-y,-z'
'-x,y,z'
'-x,y,-z'
'x,-y,z'
loop_
_atom_site_label
_atom_site_type_symbol
_atom_site_fract_x
_atom_site_fract_y
_atom_site_fract_z
Ba1 Ba 0.0000 0.0000 0.1847
Gd1 Gd 0.0000 0.0000 0.5000
Co1 Co 0.5000 0.5000 0.0000
Cu1 Cu 0.5000 0.5000 0.3585
O1 O 0.0000 0.5000 0.3758
O2 O 0.5000 0.0000 0.0000
O3 O 0.5000 0.0000 0.3760
O4 O 0.5000 0.5000 0.1518
```

***

[3]
# Li9Mn2Co5O16
Theoretical powder diffractogram, Cu Kα (λ = 1.5418 Å). Input: a structure optimized by DFT (GGA+U).

Main lines, sorted by position (10° ≤ 2θ ≤ 80°):
(hkl), two_theta, Rel. int.
1 0 1, 18.19, 1000
1 0 -7, 35.13, 133
0 1 4, 36.23, 262
1 1 -3, 37.60, 75
2 0 -6, 42.35, 273
1 1 5, 43.86, 536
2 1 -2, 47.32, 88
2 1 6, 57.62, 93
3 1 -1, 62.37, 144
1 1 -11, 62.83, 133
2 0 10, 62.98, 71
0 2 0, 64.53, 76

Structure:
```
data_Li9Mn2Co5O16
_space_group_name_H-M_alt 'P 1 2/m 1'
_space_group_IT_number 10
_cell_length_a 5.2128
_cell_length_b 2.8881
_cell_length_c 19.4515
_cell_angle_alpha 90.00
_cell_angle_beta 96.15
_cell_angle_gamma 90.00
loop_
_space_group_symop_operation_xyz
'x,y,z'
'-x,-y,-z'
'-x,y,-z'
'x,-y,z'
loop_
_atom_site_label
_atom_site_type_symbol
_atom_site_fract_x
_atom_site_fract_y
_atom_site_fract_z
Li1 Li 0.0000 0.0000 0.0000
Li2 Li 0.0000 0.5000 0.5000
Li3 Li 0.1270 0.0000 0.3779
Li4 Li 0.2447 0.5000 0.2475
Li5 Li 0.3873 0.0000 0.1180
Li6 Li 0.5000 0.5000 0.0000
Mn1 Mn 0.2527 0.0000 0.7505
Co1 Co 0.0986 0.5000 0.8842
Co2 Co 0.3730 0.5000 0.6214
Co3 Co 0.5000 0.0000 0.5000
O1 O 0.0162 0.0000 0.1891
O2 O 0.0823 0.5000 0.6943
O3 O 0.1774 0.5000 0.0692
O4 O 0.1890 0.0000 0.5666
O5 O 0.2983 0.0000 0.9314
O6 O 0.3352 0.5000 0.4371
O7 O 0.4241 0.5000 0.8028
O8 O 0.4718 0.0000 0.3127
```